Starting from a structure optimized by DFT (GGA-PBE), the X-ray diffraction stick pattern of CsZnC3N3 was computed for a wavelength of 1.5418 Å.
Kinematic intensities with the Lorentz-polarization factor, no thermal factor.

Cell: 7.717 7.717 7.717 Å, 60.00 60.00 60.00°
Sites, in units of the cell vectors:
Cs: 0.250 0.250 0.250
Cs: 0.750 0.750 0.750
Zn: 0.000 0.000 0.000
Zn: 0.500 0.500 0.500
C: 0.199 0.199 0.801
C: 0.199 0.801 0.199
C: 0.199 0.801 0.801
C: 0.801 0.199 0.199
C: 0.801 0.199 0.801
C: 0.801 0.801 0.199
N: 0.307 0.307 0.693
N: 0.307 0.693 0.307
N: 0.307 0.693 0.693
N: 0.693 0.307 0.307
N: 0.693 0.307 0.693
N: 0.693 0.693 0.307

Peak list (10 most intense, 2θ = 10–80°, in order of rising 2θ)
2theta, I/Imax
23.1, 100.0
28.3, 16.2
32.8, 38.3
40.5, 37.7
47.1, 22.2
53.1, 26.7
58.6, 6.5
63.8, 26.1
73.7, 11.3
78.4, 7.7


Starting from a structure optimized by DFT (GGA-PBE), the X-ray diffraction stick pattern of BaSnGe2Pd was computed for a wavelength of 1.5418 Å.
Kinematic intensities with the Lorentz-polarization factor, no thermal factor.

Cell: 4.751 4.751 10.769 Å, 90.00 90.00 90.00°
Sites, in units of the cell vectors:
Ba: 0.000 0.000 0.000
Ba: 0.500 0.500 0.500
Sn: 0.000 0.000 0.395
Sn: 0.500 0.500 0.895
Ge: 0.000 0.500 0.244
Ge: 0.000 0.500 0.744
Ge: 0.500 0.000 0.244
Ge: 0.500 0.000 0.744
Pd: 0.000 0.000 0.650
Pd: 0.500 0.500 0.150

Peak list (10 most intense, 2θ = 10–80°, in order of rising 2θ)
2theta, I/Imax
26.5, 38.9
31.2, 100.0
31.4, 89.5
37.9, 90.2
43.1, 26.3
46.3, 27.7
49.9, 53.6
54.6, 31.0
61.3, 24.2
64.4, 35.1


Starting from a structure optimized by DFT (GGA-PBE), the X-ray diffraction stick pattern of ZnCoBr6 was computed for a wavelength of 1.5418 Å.
Kinematic intensities with the Lorentz-polarization factor, no thermal factor.

Cell: 6.706 6.706 6.706 Å, 56.63 56.63 56.63°
Sites, in units of the cell vectors:
Zn: 0.000 0.000 0.000
Co: 0.500 0.500 0.500
Br: 0.102 0.729 0.426
Br: 0.271 0.574 0.898
Br: 0.426 0.102 0.729
Br: 0.574 0.898 0.271
Br: 0.729 0.426 0.102
Br: 0.898 0.271 0.574

Peak list (10 most intense, 2θ = 10–80°, in order of rising 2θ)
2theta, I/Imax
19.3, 22.1
31.9, 12.5
32.4, 100.0
43.0, 36.0
49.6, 29.7
57.1, 19.6
60.2, 10.2
60.5, 14.2
67.7, 8.4
79.0, 7.8


Starting from a structure optimized by DFT (GGA-PBE), the X-ray diffraction stick pattern of Gd3Mg2Ga2HgPd was computed for a wavelength of 1.5418 Å.
Kinematic intensities with the Lorentz-polarization factor, no thermal factor.

Cell: 4.367 7.330 7.330 Å, 119.49 90.00 90.00°
Sites, in units of the cell vectors:
Gd: 0.000 0.000 0.000
Gd: 0.000 0.422 0.831
Gd: 0.000 0.831 0.422
Mg: 0.500 0.184 0.421
Mg: 0.500 0.421 0.184
Ga: 0.500 0.094 0.754
Ga: 0.500 0.754 0.094
Hg: 0.500 0.669 0.669
Pd: 0.000 0.402 0.402

Peak list (10 most intense, 2θ = 10–80°, in order of rising 2θ)
2theta, I/Imax
13.9, 27.6
24.7, 19.5
28.2, 20.8
31.9, 89.2
34.8, 100.0
37.2, 21.1
37.5, 16.7
41.4, 30.8
43.0, 15.9
56.5, 15.7


Starting from a structure optimized by DFT (GGA-PBE), the X-ray diffraction stick pattern of Nd2Gd2CCl5 was computed for a wavelength of 1.5418 Å.
Kinematic intensities with the Lorentz-polarization factor, no thermal factor.

Cell: 8.912 8.912 8.124 Å, 102.88 102.88 24.91°
Sites, in units of the cell vectors:
Nd: 0.003 0.003 0.286
Nd: 0.997 0.997 0.714
Gd: 0.357 0.357 0.420
Gd: 0.643 0.643 0.580
C: 0.500 0.500 0.500
Cl: 0.165 0.165 0.826
Cl: 0.174 0.174 0.354
Cl: 0.500 0.500 0.000
Cl: 0.826 0.826 0.646
Cl: 0.835 0.835 0.174

Peak list (10 most intense, 2θ = 10–80°, in order of rising 2θ)
2theta, I/Imax
10.4, 39.3
11.2, 100.0
21.4, 18.2
28.1, 31.9
31.7, 64.4
32.1, 94.4
35.3, 19.0
45.6, 24.9
45.8, 23.5
58.0, 16.9


Starting from a structure optimized by DFT (GGA-PBE), the X-ray diffraction stick pattern of Be2Tc3 was computed for a wavelength of 1.5418 Å.
Kinematic intensities with the Lorentz-polarization factor, no thermal factor.

Cell: 6.198 6.198 3.033 Å, 90.00 90.00 90.00°
Sites, in units of the cell vectors:
Be: 0.122 0.378 0.000
Be: 0.378 0.878 0.000
Be: 0.622 0.122 0.000
Be: 0.878 0.622 0.000
Tc: 0.000 0.000 0.000
Tc: 0.171 0.671 0.500
Tc: 0.329 0.171 0.500
Tc: 0.500 0.500 0.000
Tc: 0.671 0.829 0.500
Tc: 0.829 0.329 0.500

Peak list (10 most intense, 2θ = 10–80°, in order of rising 2θ)
2theta, I/Imax
32.3, 88.3
36.0, 65.7
41.2, 30.1
41.7, 100.0
44.3, 90.9
46.3, 66.1
61.7, 18.1
69.8, 24.3
71.7, 37.2
80.0, 25.6


Starting from a structure optimized by DFT (GGA-PBE), the X-ray diffraction stick pattern of Ga2PdI4Cl4 was computed for a wavelength of 1.5418 Å.
Kinematic intensities with the Lorentz-polarization factor, no thermal factor.

Cell: 7.943 7.943 7.445 Å, 92.93 92.93 67.15°
Sites, in units of the cell vectors:
Ga: 0.214 0.214 0.347
Ga: 0.786 0.786 0.653
Pd: 0.000 0.000 0.000
I: 0.098 0.672 0.844
I: 0.328 0.902 0.156
I: 0.672 0.098 0.844
I: 0.902 0.328 0.156
Cl: 0.174 0.174 0.625
Cl: 0.375 0.375 0.316
Cl: 0.625 0.625 0.684
Cl: 0.826 0.826 0.375

Peak list (10 most intense, 2θ = 10–80°, in order of rising 2θ)
2theta, I/Imax
11.9, 30.1
12.1, 54.7
16.7, 61.2
17.4, 100.0
23.5, 25.6
26.8, 52.2
27.5, 67.9
34.0, 30.1
35.0, 27.6
41.9, 37.5